The following is a simulated powder diffractogram of Dy2SiO5. It was derived from a PBE-relaxed structure, using Cu Kα.
Peak positions follow from Bragg's law for the DFT cell and can differ from measured ones.

Main lines, by angle (10° ≤ 2θ ≤ 90°):
| 2theta | I/Imax |
| --- | --- |
| 22.56 | 97 |
| 24.92 | 59 |
| 28.02 | 65 |
| 29.21 | 87 |
| 29.97 | 73 |
| 30.41 | 100 |
| 34.81 | 67 |
| 52.26 | 46 |

Structure:
```
data_Dy2SiO5
_space_group_name_H-M_alt 'C 1 2/c 1'
_space_group_IT_number 15
_cell_length_a 14.5415
_cell_length_b 6.8178
_cell_length_c 10.5211
_cell_angle_alpha 90.00
_cell_angle_beta 122.18
_cell_angle_gamma 90.00
loop_
_space_group_symop_operation_xyz
'x,y,z'
'-x,-y,-z'
'-x,y,-z+1/2'
'x,-y,z+1/2'
'x+1/2,y+1/2,z'
'-x+1/2,-y+1/2,-z'
'-x+1/2,y+1/2,-z+1/2'
'x+1/2,-y+1/2,z+1/2'
loop_
_atom_site_label
_atom_site_fract_x
_atom_site_fract_y
_atom_site_fract_z
_atom_site_occupancy
Dy1 0.0366 0.2444 0.4674 1
Dy2 0.1426 0.1178 0.8377 1
Si1 0.1820 0.4098 0.3054 1
O1 0.0166 0.0942 0.8958 1
O2 0.0909 0.4907 0.1366 1
O3 0.1204 0.2161 0.3238 1
O4 0.2013 0.4266 0.9319 1
O5 0.2024 0.1485 0.6758 1
```

***

The following is a simulated powder diffractogram of Hf3Cu4Si4. It was derived from a PBE-relaxed structure, using Cu Kα.
Peak positions follow from Bragg's law for the DFT cell and can differ from measured ones.

Main lines, by angle (10° ≤ 2θ ≤ 90°):
| 2theta | I/Imax |
| --- | --- |
| 23.71 | 27 |
| 24.82 | 28 |
| 37.01 | 98 |
| 37.31 | 39 |
| 38.64 | 100 |
| 46.34 | 32 |
| 47.66 | 32 |
| 68.66 | 21 |

Structure:
```
data_Hf3Cu4Si4
_space_group_name_H-M_alt 'I m m m'
_space_group_IT_number 71
_space_group_name_Hall '-I 2 2'
_cell_length_a 3.9190
_cell_length_b 6.3732
_cell_length_c 13.0182
_cell_angle_alpha 90.00
_cell_angle_beta 90.00
_cell_angle_gamma 90.00
loop_
_atom_site_label
_atom_site_fract_x
_atom_site_fract_y
_atom_site_fract_z
_atom_site_occupancy
Hf1 0.0000 0.0000 0.0000 1
Hf2 0.0000 0.5000 0.1234 1
Cu1 0.0000 0.3065 0.3298 1
Si1 0.0000 0.0000 0.2158 1
Si2 0.0000 0.1918 0.5000 1
```

***

The following is a simulated powder diffractogram of IrPbBr. It was derived from a PBE-relaxed structure, using Cu Kα.
Peak positions follow from Bragg's law for the DFT cell and can differ from measured ones.

Main lines, by angle (10° ≤ 2θ ≤ 90°):
| 2theta | I/Imax |
| --- | --- |
| 22.48 | 55 |
| 37.12 | 100 |
| 43.83 | 30 |
| 53.50 | 18 |
| 58.74 | 13 |
| 66.91 | 36 |
| 79.07 | 12 |
| 83.47 | 10 |

Structure:
```
data_IrPbBr
_space_group_name_H-M_alt 'F -4 3 m'
_space_group_IT_number 216
_space_group_name_Hall 'F -4 2 3'
_cell_length_a 6.8512
_cell_length_b 6.8512
_cell_length_c 6.8512
_cell_angle_alpha 90.00
_cell_angle_beta 90.00
_cell_angle_gamma 90.00
loop_
_atom_site_label
_atom_site_fract_x
_atom_site_fract_y
_atom_site_fract_z
_atom_site_occupancy
Ir1 0.0000 0.0000 0.0000 1
Pb1 0.2500 0.2500 0.7500 1
Br1 0.0000 0.0000 0.5000 1
```

***

The following is a simulated powder diffractogram of Ba5Sb3. It was derived from a PBE-relaxed structure, using Cu Kα.
Peak positions follow from Bragg's law for the DFT cell and can differ from measured ones.

Main lines, by angle (10° ≤ 2θ ≤ 90°):
| 2theta | I/Imax |
| --- | --- |
| 22.48 | 23 |
| 26.87 | 26 |
| 28.63 | 100 |
| 29.19 | 96 |
| 30.55 | 57 |
| 42.36 | 22 |
| 43.86 | 31 |
| 56.13 | 20 |

Structure:
```
data_Ba5Sb3
_space_group_name_H-M_alt 'P 63/m c m'
_space_group_IT_number 193
_space_group_name_Hall '-P 6c 2'
_cell_length_a 10.1354
_cell_length_b 10.1354
_cell_length_c 7.9108
_cell_angle_alpha 90.00
_cell_angle_beta 90.00
_cell_angle_gamma 120.00
loop_
_atom_site_label
_atom_site_fract_x
_atom_site_fract_y
_atom_site_fract_z
_atom_site_occupancy
Ba1 0.0000 0.2558 0.2500 1
Ba2 0.3333 0.6667 0.0000 1
Sb1 0.0000 0.3911 0.7500 1
```

***

The following is a simulated powder diffractogram of RbCNO. It was derived from a PBE-relaxed structure, using Cu Kα.
Peak positions follow from Bragg's law for the DFT cell and can differ from measured ones.

Main lines, by angle (10° ≤ 2θ ≤ 90°):
| 2theta | I/Imax |
| --- | --- |
| 19.62 | 43 |
| 27.83 | 24 |
| 27.94 | 23 |
| 30.89 | 100 |
| 36.86 | 31 |
| 39.85 | 19 |
| 46.85 | 14 |
| 51.18 | 12 |

Structure:
```
data_RbCNO
_space_group_name_H-M_alt 'I m a 2'
_space_group_IT_number 46
_cell_length_a 7.5322
_cell_length_b 6.3857
_cell_length_c 6.4116
_cell_angle_alpha 90.00
_cell_angle_beta 90.00
_cell_angle_gamma 90.00
loop_
_space_group_symop_operation_xyz
'x,y,z'
'-x,-y,z'
'-x+1/2,y,z'
'x+1/2,-y,z'
'x+1/2,y+1/2,z+1/2'
'-x+1/2,-y+1/2,z+1/2'
'-x,y+1/2,z+1/2'
'x,-y+1/2,z+1/2'
loop_
_atom_site_label
_atom_site_fract_x
_atom_site_fract_y
_atom_site_fract_z
_atom_site_occupancy
Rb1 0.0000 0.0000 0.0000 1
C1 0.2500 0.0023 0.5033 1
N1 0.2500 0.1336 0.6367 1
O1 0.2500 0.6347 0.8678 1
```

***

The following is a simulated powder diffractogram of RbSb2C2O4F5. It was derived from a PBE-relaxed structure, using Cu Kα.
Peak positions follow from Bragg's law for the DFT cell and can differ from measured ones.

Main lines, by angle (10° ≤ 2θ ≤ 90°):
| 2theta | I/Imax |
| --- | --- |
| 15.32 | 17 |
| 20.02 | 22 |
| 22.81 | 100 |
| 26.78 | 16 |
| 27.59 | 47 |
| 39.90 | 23 |
| 42.94 | 19 |
| 47.84 | 24 |

Structure:
```
data_RbSb2C2O4F5
_space_group_name_H-M_alt 'P 21 21 21'
_space_group_IT_number 19
_cell_length_a 6.1530
_cell_length_b 6.6590
_cell_length_c 23.1378
_cell_angle_alpha 90.00
_cell_angle_beta 90.00
_cell_angle_gamma 90.00
loop_
_space_group_symop_operation_xyz
'x,y,z'
'-x+1/2,-y,z+1/2'
'x+1/2,-y+1/2,-z'
'-x,y+1/2,-z+1/2'
loop_
_atom_site_label
_atom_site_fract_x
_atom_site_fract_y
_atom_site_fract_z
_atom_site_occupancy
Rb1 0.0224 0.0053 0.4961 1
Sb1 0.0122 0.9908 0.1147 1
Sb2 0.0350 0.0489 0.8574 1
C1 0.1793 0.9435 0.7354 1
C2 0.1821 0.8752 0.2550 1
O1 0.0520 0.7946 0.2218 1
O2 0.0528 0.8685 0.7734 1
O3 0.1965 0.8819 0.6841 1
O4 0.2146 0.8185 0.3087 1
F1 0.0772 0.4274 0.4680 1
F2 0.1788 0.2343 0.9170 1
F3 0.1811 0.2085 0.0754 1
F4 0.2450 0.8459 0.8877 1
F5 0.2489 0.7970 0.0970 1
```